Simulated powder XRD pattern
Compound: LiTiGa
Radiation: copper Kα
Structure: DFT lattice parameters and positions (GGA-PBE)

Structural model:
```
LiTiGa
1.0
2.8921 0.0000 0.0000
0.0000 3.9641 0.0000
0.0000 0.0000 8.4461
Li Ti Ga
2 2 2
direct
0.2500 0.2500 0.0821
0.7500 0.7500 0.9179
0.2500 0.2500 0.4124
0.7500 0.7500 0.5876
0.2500 0.2500 0.7457
0.7500 0.7500 0.2543
```

Most intense lines, 15° ≤ 2θ ≤ 90°, in order of rising 2θ:
- 21.0°, I 35
- 24.8°, I 42
- 32.7°, I 21
- 38.5°, I 100
- 39.2°, I 94
- 44.9°, I 63
- 45.8°, I 30
- 66.1°, I 37
- 78.1°, I 22
- 79.5°, I 21


Simulated powder XRD pattern
Compound: LiTlGa
Radiation: copper Kα
Structure: DFT lattice parameters and positions (GGA-PBE)

Structural model:
```
LiTlGa
1.0
4.6375 0.0000 0.0000
-2.3188 4.0162 0.0000
0.0000 0.0000 3.4689
Li Tl Ga
1 1 1
direct
0.0000 0.0000 0.0000
0.6667 0.3333 0.6284
0.3333 0.6667 0.2552
```

Most intense lines, 15° ≤ 2θ ≤ 90°, in order of rising 2θ:
- 22.1°, I 76
- 25.7°, I 14
- 34.2°, I 100
- 38.8°, I 49
- 45.2°, I 12
- 47.1°, I 17
- 52.7°, I 30
- 57.9°, I 18
- 67.4°, I 39
- 84.9°, I 13


Simulated powder XRD pattern
Compound: Li4Tl3Ga
Radiation: copper Kα
Structure: DFT lattice parameters and positions (GGA-PBE)

Structural model:
```
Li4Tl3Ga
1.0
3.5428 -3.2544 0.0000
3.5428 3.2544 0.0000
-3.5035 0.0000 6.8452
Li Tl Ga
4 3 1
direct
0.1183 0.6198 0.7370
0.3802 0.8817 0.2630
0.6198 0.1183 0.7370
0.8817 0.3802 0.2630
0.2457 0.2457 0.9902
0.5000 0.5000 0.5000
0.7543 0.7543 0.0098
0.0000 0.0000 0.5000
```

Most intense lines, 15° ≤ 2θ ≤ 90°, in order of rising 2θ:
- 19.6°, I 21
- 25.1°, I 100
- 26.0°, I 91
- 27.4°, I 81
- 36.4°, I 43
- 36.6°, I 43
- 37.5°, I 81
- 38.2°, I 76
- 46.2°, I 40
- 46.3°, I 39


Simulated powder XRD pattern
Compound: Li6Tl2Ga
Radiation: copper Kα
Structure: DFT lattice parameters and positions (GGA-PBE)

Structural model:
```
Li6Tl2Ga
1.0
2.3162 1.3373 9.5942
-2.3162 1.3373 9.5942
0.0000 -2.6746 9.5942
Li Tl Ga
6 2 1
direct
0.1038 0.1038 0.1038
0.2002 0.2002 0.2002
0.3054 0.3054 0.3054
0.6946 0.6946 0.6946
0.7998 0.7998 0.7998
0.8962 0.8962 0.8962
0.4035 0.4035 0.4035
0.5965 0.5965 0.5965
0.5000 0.5000 0.5000
```

Most intense lines, 15° ≤ 2θ ≤ 90°, in order of rising 2θ:
- 18.5°, I 25
- 22.4°, I 100
- 23.0°, I 24
- 25.4°, I 25
- 27.1°, I 39
- 38.5°, I 39
- 38.9°, I 40
- 41.2°, I 26
- 43.4°, I 18
- 48.5°, I 18


Simulated powder XRD pattern
Compound: LiTm2Ga8
Radiation: copper Kα
Structure: DFT lattice parameters and positions (GGA-PBE)

Structural model:
```
LiTm2Ga8
1.0
4.2774 0.0000 0.0000
0.0000 4.2774 0.0000
0.0000 0.0000 11.1652
Li Tm Ga
1 2 8
direct
0.0000 0.0000 0.0000
0.0000 0.0000 0.3122
0.0000 0.0000 0.6878
0.0000 0.5000 0.1260
0.0000 0.5000 0.5000
0.0000 0.5000 0.8740
0.5000 0.0000 0.1260
0.5000 0.0000 0.5000
0.5000 0.0000 0.8740
0.5000 0.5000 0.3064
0.5000 0.5000 0.6936
```

Most intense lines, 15° ≤ 2θ ≤ 90°, in order of rising 2θ:
- 20.8°, I 14
- 30.6°, I 16
- 33.7°, I 53
- 38.3°, I 100
- 40.4°, I 21
- 42.3°, I 51
- 59.9°, I 26
- 61.3°, I 17
- 74.7°, I 27
- 74.9°, I 17


Simulated powder XRD pattern
Compound: LiTmGa
Radiation: copper Kα
Structure: DFT lattice parameters and positions (GGA-PBE)

Structural model:
```
LiTmGa
1.0
6.3844 0.0000 0.0000
0.0000 3.3453 3.3455
0.0000 -3.3453 3.3455
Li Tm Ga
2 2 2
direct
0.2500 0.2471 0.7529
0.7500 0.7529 0.2471
0.2500 0.7410 0.2521
0.7500 0.2521 0.7410
0.0000 0.7515 0.7515
0.5000 0.7515 0.7515
```

Most intense lines, 15° ≤ 2θ ≤ 90°, in order of rising 2θ:
- 18.8°, I 18
- 23.4°, I 100
- 26.6°, I 14
- 38.0°, I 33
- 39.0°, I 61
- 45.1°, I 35
- 46.8°, I 16
- 54.9°, I 11
- 61.8°, I 14
- 69.4°, I 22


Simulated powder XRD pattern
Compound: LiUGa6
Radiation: copper Kα
Structure: DFT lattice parameters and positions (GGA-PBE)

Structural model:
```
LiUGa6
1.0
4.5172 0.0000 0.0000
0.0000 3.0676 5.3074
0.0000 -3.0676 5.3074
Li U Ga
1 1 6
direct
0.0000 0.0000 0.0000
0.5000 0.3322 0.3322
0.0000 0.5163 0.5163
0.0000 0.5168 0.9644
0.0000 0.9644 0.5168
0.5000 0.3242 0.8364
0.5000 0.8364 0.3242
0.5000 0.8369 0.8369
```

Most intense lines, 15° ≤ 2θ ≤ 90°, in order of rising 2θ:
- 16.7°, I 36
- 25.9°, I 24
- 33.8°, I 33
- 35.4°, I 18
- 39.4°, I 100
- 39.9°, I 21
- 53.2°, I 18
- 60.4°, I 17
- 72.1°, I 17
- 74.9°, I 18


Simulated powder XRD pattern
Compound: LiUGa
Radiation: copper Kα
Structure: DFT lattice parameters and positions (GGA-PBE)

Structural model:
```
LiUGa
1.0
0.0000 3.5249 6.5768
2.7114 0.0000 6.5768
2.7114 3.5249 0.0000
Li U Ga
2 2 2
direct
0.1685 0.8315 0.1685
0.8315 0.1685 0.8315
0.2500 0.2500 0.2500
0.7500 0.7500 0.7500
0.4046 0.4046 0.5954
0.5954 0.5954 0.4046
```

Most intense lines, 15° ≤ 2θ ≤ 90°, in order of rising 2θ:
- 25.3°, I 26
- 27.1°, I 29
- 28.7°, I 100
- 35.8°, I 60
- 37.4°, I 64
- 41.2°, I 25
- 42.0°, I 51
- 43.2°, I 41
- 44.3°, I 41
- 60.3°, I 36


Simulated powder XRD pattern
Compound: LiYGa2
Radiation: copper Kα
Structure: DFT lattice parameters and positions (GGA-PBE)

Structural model:
```
LiYGa2
1.0
6.9566 0.0000 0.0000
0.0000 4.3338 0.0000
0.0000 0.0000 10.2660
Li Y Ga
4 4 8
direct
0.0481 0.2500 0.1007
0.4519 0.7500 0.6007
0.5481 0.2500 0.3993
0.9519 0.7500 0.8993
0.2163 0.7500 0.3314
0.2837 0.2500 0.8314
0.7163 0.7500 0.1686
0.7837 0.2500 0.6686
0.0754 0.7500 0.6497
0.2231 0.2500 0.5394
0.2769 0.7500 0.0394
0.4246 0.2500 0.1497
0.5754 0.7500 0.8503
0.7231 0.2500 0.9606
0.7769 0.7500 0.4606
0.9246 0.2500 0.3503
```

Most intense lines, 15° ≤ 2θ ≤ 90°, in order of rising 2θ:
- 15.4°, I 41
- 25.6°, I 22
- 29.1°, I 14
- 34.2°, I 60
- 35.8°, I 100
- 37.3°, I 21
- 41.7°, I 32
- 53.2°, I 13
- 57.2°, I 12
- 72.3°, I 12


Simulated powder XRD pattern
Compound: Li2YGa6
Radiation: copper Kα
Structure: DFT lattice parameters and positions (GGA-PBE)

Structural model:
```
Li2YGa6
1.0
7.6188 0.0000 0.0000
-3.8094 6.5981 0.0000
0.0000 0.0000 3.4225
Li Y Ga
2 1 6
direct
0.3333 0.6667 0.0000
0.6667 0.3333 0.0000
0.0000 0.0000 0.0000
0.0000 0.3377 0.5000
0.0000 0.6623 0.5000
0.3377 0.0000 0.5000
0.3377 0.3377 0.5000
0.6623 0.0000 0.5000
0.6623 0.6623 0.5000
```

Most intense lines, 15° ≤ 2θ ≤ 90°, in order of rising 2θ:
- 23.4°, I 20
- 26.0°, I 41
- 35.3°, I 100
- 41.0°, I 92
- 49.2°, I 42
- 53.6°, I 14
- 55.2°, I 27
- 69.6°, I 37
- 71.0°, I 24
- 74.8°, I 15


Simulated powder XRD pattern
Compound: Li2YGa2
Radiation: copper Kα
Structure: DFT lattice parameters and positions (GGA-PBE)

Structural model:
```
Li2YGa2
1.0
-1.8133 2.1846 12.5363
1.8133 -2.1846 12.5363
1.8133 2.1846 -12.5363
Li Y Ga
4 2 4
direct
0.0445 0.2945 0.7500
0.4447 0.1947 0.2500
0.5553 0.8053 0.7500
0.9555 0.7055 0.2500
0.3273 0.5773 0.7500
0.6727 0.4227 0.2500
0.1200 0.8700 0.2500
0.2233 0.9733 0.2500
0.7767 0.0267 0.7500
0.8800 0.1300 0.7500
```

Most intense lines, 15° ≤ 2θ ≤ 90°, in order of rising 2θ:
- 32.9°, I 100
- 35.2°, I 99
- 38.3°, I 59
- 41.3°, I 29
- 44.9°, I 23
- 50.3°, I 16
- 55.4°, I 25
- 65.0°, I 24
- 67.1°, I 13
- 70.0°, I 20


Simulated powder XRD pattern
Compound: LiY3Ga8
Radiation: copper Kα
Structure: DFT lattice parameters and positions (GGA-PBE)

Structural model:
```
LiY3Ga8
1.0
2.7415 1.5828 8.9745
-2.7415 1.5828 8.9745
0.0000 -3.1657 8.9745
Li Y Ga
1 3 8
direct
0.0000 0.0000 0.0000
0.3694 0.3694 0.3694
0.4978 0.4978 0.4978
0.8777 0.8777 0.8777
0.1850 0.1850 0.1850
0.4351 0.9346 0.9346
0.4357 0.4357 0.9337
0.4357 0.9337 0.4357
0.6847 0.6847 0.6847
0.9337 0.4357 0.4357
0.9346 0.4351 0.9346
0.9346 0.9346 0.4351
```

Most intense lines, 15° ≤ 2θ ≤ 90°, in order of rising 2θ:
- 19.8°, I 10
- 32.6°, I 25
- 38.5°, I 100
- 40.3°, I 43
- 62.1°, I 7
- 62.2°, I 23
- 68.3°, I 13
- 68.4°, I 13
- 81.3°, I 8
- 82.5°, I 11